1.
Computed powder diffractogram of SrLa3CoNiO8 for Cu Kα X-rays, from a crystal structure in the Materials Project, relaxed with PBE+U.
Intensities are scaled so that the largest is 100.

Cell and atoms:
```
data_SrLa3CoNiO8
_cell_length_a 5.4640
_cell_length_b 5.5124
_cell_length_c 12.7062
_cell_angle_alpha 90.00
_cell_angle_beta 90.00
_cell_angle_gamma 90.00
_symmetry_space_group_name_H-M 'A m m 2'
_symmetry_Int_Tables_number 38
_symmetry_space_group_name_Hall 'A 2 -2'
loop_
_atom_site_label
_atom_site_fract_x
_atom_site_fract_y
_atom_site_fract_z
_atom_site_occupancy
Sr1 0.0000 0.0000 0.0000 1
La1 0.0000 0.0000 0.2796 1
La2 0.5000 0.0000 0.5040 1
La3 0.5000 0.0000 0.7832 1
Co1 0.5000 0.0000 0.1385 1
Ni1 0.0000 0.0000 0.6400 1
O1 0.0000 0.0000 0.4628 1
O2 0.0000 0.0000 0.8101 1
O3 0.2603 0.2494 0.6448 1
O4 0.5000 0.0000 0.3204 1
O5 0.5000 0.0000 0.9679 1
```

Most intense lines, 5 to 70 degrees two-theta, most intense first:
index	2θ/deg	Rel. int.
1 1 3	31.26	100
2 2 0	46.82	37
0 2 0	32.49	36
2 0 0	32.78	35
1 1 1	23.98	21
1 1 5	42.52	19
1 3 3	57.19	18
3 1 3	57.57	18
2 2 6	65.23	16
0 2 4	43.47	15

2.
Computed powder diffractogram of La2Co2O5 for Cu Kα X-rays, from a crystal structure in the Materials Project, relaxed with PBE+U.
Intensities are scaled so that the largest is 100.

Cell and atoms:
```
data_La2Co2O5
_cell_length_a 5.4584
_cell_length_b 15.7923
_cell_length_c 5.8466
_cell_angle_alpha 90.00
_cell_angle_beta 90.00
_cell_angle_gamma 90.00
_symmetry_space_group_name_H-M 'P n m a'
_symmetry_Int_Tables_number 62
_symmetry_space_group_name_Hall '-P 2ac 2n'
loop_
_atom_site_label
_atom_site_fract_x
_atom_site_fract_y
_atom_site_fract_z
_atom_site_occupancy
La1 0.0005 0.1102 0.0230 1
Co1 0.0000 0.0000 0.5000 1
Co2 0.0462 0.2500 0.5613 1
O1 0.0200 0.6411 0.5851 1
O2 0.0766 0.7500 0.1161 1
O3 0.2447 0.0180 0.7546 1
```

Most intense lines, 5 to 70 degrees two-theta, most intense first:
index	2θ/deg	Rel. int.
1 4 1	31.89	100
2 0 0	32.82	33
0 0 2	30.58	32
2 0 2	45.47	28
1 4 3	55.19	20
1 0 1	22.28	20
3 4 1	58.00	19
1 6 1	41.08	14
0 8 0	45.97	12
2 8 2	66.65	10

3.
Computed powder diffractogram of LaCoO3 for Cu Kα X-rays, from a crystal structure in the Materials Project, relaxed with PBE+U.
Intensities are scaled so that the largest is 100.

Cell and atoms:
```
data_LaCoO3
_cell_length_a 5.4858
_cell_length_b 5.5909
_cell_length_c 7.7755
_cell_angle_alpha 89.99
_cell_angle_beta 88.28
_cell_angle_gamma 89.06
_symmetry_space_group_name_H-M 'P -1'
_symmetry_Int_Tables_number 2
_symmetry_space_group_name_Hall '-P 1'
loop_
_atom_site_label
_atom_site_fract_x
_atom_site_fract_y
_atom_site_fract_z
_atom_site_occupancy
La1 0.0010 0.4965 0.2494 1
La2 0.4974 0.0021 0.7517 1
Co1 0.0000 0.0000 0.0000 1
Co2 0.0000 0.0000 0.5000 1
Co3 0.5000 0.5000 0.0000 1
Co4 0.5000 0.5000 0.5000 1
O1 0.0097 0.0728 0.7576 1
O2 0.2140 0.7295 0.9641 1
O3 0.2181 0.2827 0.4637 1
O4 0.2733 0.2096 0.0347 1
O5 0.2757 0.7915 0.5300 1
O6 0.4983 0.4360 0.7459 1
```

Most intense lines, 5 to 70 degrees two-theta, most intense first:
index	2θ/deg	Rel. int.
1 1 2	32.00	100
1 1 -2	32.67	100
2 -2 0	46.77	58
-1 1 2	32.96	49
1 -1 2	32.24	48
0 2 -4	57.80	40
2 0 4	57.28	32
2 0 2	39.70	32
2 2 0	45.99	30
0 0 2	22.90	25